This entry pairs a crystal structure of Ba2MnWO6 with its simulated powder XRD pattern. Radiation: copper Kα. Structure: a structure optimized by DFT (PBE+U).
Neutral-atom scattering factors, no anomalous dispersion.

Structure:
```
Ba2MnWO6
1.0
0.0000 4.1711 4.1711
4.1711 0.0000 4.1711
4.1711 4.1711 0.0000
Ba Mn W O
2 1 1 6
direct
0.2500 0.2500 0.2500
0.7500 0.7500 0.7500
0.0000 0.0000 0.0000
0.5000 0.5000 0.5000
0.2648 0.2648 0.7352
0.2648 0.7352 0.2648
0.2648 0.7352 0.7352
0.7352 0.2648 0.2648
0.7352 0.2648 0.7352
0.7352 0.7352 0.2648
```

Top 8 peaks for 2θ from 10° to 80°, by angle:
2θ 18.4, I = 18
2θ 30.3, I = 100
2θ 35.7, I = 9
2θ 43.4, I = 30
2θ 53.8, I = 40
2θ 63.0, I = 18
2θ 71.5, I = 18
2θ 79.6, I = 6